[1]
Diffraction record for DyBiP. The powder diffraction line list is theoretical, not measured: it uses DFT lattice parameters and positions (GGA-PBE) and CuKα.

Peak list (6 most intense, 10° ≤ 2θ ≤ 90°, sorted by position)
d 3.563, rel. 100
d 2.757, rel. 43
d 2.335, rel. 46
d 1.953, rel. 20
d 1.710, rel. 20
d 1.498, rel. 17

Crystal structure
a b c (Å): 10.4025 10.4025 10.4025
angles (deg): 25.94 25.94 25.94
Element x y z (fractional)
Dy 0.1215 0.1215 0.1215
Dy 0.8785 0.8785 0.8785
Bi 0.3605 0.3605 0.3605
Bi 0.6395 0.6395 0.6395
P 0.2127 0.2127 0.2127
P 0.7873 0.7873 0.7873



[2]
Diffraction record for Dy2Sc2Bi2P. The powder diffraction line list is theoretical, not measured: it uses DFT lattice parameters and positions (GGA-PBE) and CuKα.

Peak list (6 most intense, 10° ≤ 2θ ≤ 90°, sorted by position)
d 4.032, rel. 30
d 3.421, rel. 100
d 2.685, rel. 53
d 2.608, rel. 82
d 2.419, rel. 64
d 1.798, rel. 46

Crystal structure
a b c (Å): 8.7590 8.7590 8.7590
angles (deg): 147.94 147.94 45.98
Element x y z (fractional)
Dy 0.1666 0.1666 0.0000
Dy 0.8334 0.8334 0.0000
Sc 0.0000 0.5000 0.5000
Sc 0.5000 0.0000 0.5000
Bi 0.3634 0.3634 0.0000
Bi 0.6366 0.6366 0.0000
P 0.0000 0.0000 0.0000



[3]
Diffraction record for DyPaBi. The powder diffraction line list is theoretical, not measured: it uses DFT lattice parameters and positions (GGA-PBE) and CuKα.

Peak list (6 most intense, 10° ≤ 2θ ≤ 90°, sorted by position)
d 2.814, rel. 58
d 2.703, rel. 100
d 1.990, rel. 22
d 1.602, rel. 43
d 1.541, rel. 17
d 1.351, rel. 11

Crystal structure
a b c (Å): 6.1997 6.1997 6.1997
angles (deg): 142.56 142.56 53.98
Element x y z (fractional)
Dy 0.0000 0.0000 0.0000
Pa 0.3089 0.3089 0.0000
Bi 0.6496 0.6496 0.0000



[4]
Diffraction record for DyPaBi6. The powder diffraction line list is theoretical, not measured: it uses DFT lattice parameters and positions (GGA-PBE) and CuKα.

Peak list (6 most intense, 10° ≤ 2θ ≤ 90°, sorted by position)
d 3.140, rel. 46
d 2.975, rel. 100
d 2.689, rel. 63
d 2.275, rel. 28
d 2.227, rel. 27
d 1.842, rel. 21

Crystal structure
a b c (Å): 4.5496 12.7560 12.7560
angles (deg): 20.11 90.00 90.00
Element x y z (fractional)
Dy 0.0000 0.0000 0.0000
Pa 0.5000 0.3502 0.3502
Bi 0.0000 0.2478 0.2478
Bi 0.0000 0.5958 0.5958
Bi 0.0000 0.8707 0.8707
Bi 0.5000 0.1238 0.1238
Bi 0.5000 0.4775 0.4775
Bi 0.5000 0.7497 0.7497



[5]
Diffraction record for Dy6Bi2Pb. The powder diffraction line list is theoretical, not measured: it uses DFT lattice parameters and positions (GGA-PBE) and CuKα.

Peak list (6 most intense, 10° ≤ 2θ ≤ 90°, sorted by position)
d 3.320, rel. 38
d 2.914, rel. 41
d 2.869, rel. 100
d 2.622, rel. 39
d 2.553, rel. 48
d 2.479, rel. 39

Crystal structure
a b c (Å): 6.3696 8.3618 12.2261
angles (deg): 90.00 120.93 90.00
Element x y z (fractional)
Dy 0.0625 0.2085 0.4485
Dy 0.0625 0.2915 0.9485
Dy 0.3186 0.6537 0.4547
Dy 0.3186 0.8463 0.9547
Dy 0.3683 0.0427 0.2254
Dy 0.3683 0.4573 0.7254
Dy 0.6317 0.5427 0.2746
Dy 0.6317 0.9573 0.7746
Dy 0.6814 0.1537 0.0453
Dy 0.6814 0.3463 0.5453
Dy 0.9375 0.7085 0.0515
Dy 0.9375 0.7915 0.5515
Bi 0.1355 0.1113 0.7382
Bi 0.1355 0.3887 0.2382
Bi 0.8645 0.6113 0.7618
Bi 0.8645 0.8887 0.2618
Pb 0.5000 0.0000 0.5000
Pb 0.5000 0.5000 0.0000



[6]
Diffraction record for DyPuBiPb. The powder diffraction line list is theoretical, not measured: it uses DFT lattice parameters and positions (GGA-PBE) and CuKα.

Peak list (6 most intense, 10° ≤ 2θ ≤ 90°, sorted by position)
d 2.736, rel. 100
d 1.935, rel. 19
d 1.580, rel. 40
d 1.368, rel. 12
d 1.224, rel. 17
d 1.117, rel. 5

Crystal structure
a b c (Å): 5.4729 5.4729 5.4729
angles (deg): 60.00 60.00 60.00
Element x y z (fractional)
Dy 0.0000 0.0000 0.0000
Pu 0.5000 0.5000 0.5000
Bi 0.2500 0.2500 0.2500
Pb 0.7500 0.7500 0.7500



[7]
Diffraction record for DyBi2Pd7. The powder diffraction line list is theoretical, not measured: it uses DFT lattice parameters and positions (GGA-PBE) and CuKα.

Peak list (6 most intense, 10° ≤ 2θ ≤ 90°, sorted by position)
d 3.632, rel. 39
d 2.335, rel. 100
d 2.042, rel. 34
d 1.983, rel. 15
d 1.423, rel. 20
d 1.228, rel. 26

Crystal structure
a b c (Å): 12.2446 12.2446 12.2446
angles (deg): 160.80 160.80 27.29
Element x y z (fractional)
Dy 0.0000 0.0000 0.0000
Bi 0.3319 0.3319 0.0000
Bi 0.6681 0.6681 0.0000
Pd 0.0877 0.5877 0.5000
Pd 0.2500 0.7500 0.5000
Pd 0.4123 0.9123 0.5000
Pd 0.5000 0.5000 0.0000
Pd 0.5877 0.0877 0.5000
Pd 0.7500 0.2500 0.5000
Pd 0.9123 0.4123 0.5000



[8]
Diffraction record for Pm3DyBi4. The powder diffraction line list is theoretical, not measured: it uses DFT lattice parameters and positions (GGA-PBE) and CuKα.

Peak list (6 most intense, 10° ≤ 2θ ≤ 90°, sorted by position)
d 3.220, rel. 100
d 2.277, rel. 78
d 1.859, rel. 29
d 1.610, rel. 14
d 1.440, rel. 38
d 1.315, rel. 28

Crystal structure
a b c (Å): 7.8869 7.8869 4.5552
angles (deg): 90.00 90.00 109.46
Element x y z (fractional)
Pm 0.0000 0.0000 0.0000
Pm 0.0000 0.5000 0.5000
Pm 0.5000 0.0000 0.5000
Dy 0.5000 0.5000 0.0000
Bi 0.2523 0.7477 0.0000
Bi 0.2546 0.2546 0.5000
Bi 0.7454 0.7454 0.5000
Bi 0.7477 0.2523 0.0000



[9]
Diffraction record for Pm2DyScBi4. The powder diffraction line list is theoretical, not measured: it uses DFT lattice parameters and positions (GGA-PBE) and CuKα.

Peak list (6 most intense, 10° ≤ 2θ ≤ 90°, sorted by position)
d 3.168, rel. 100
d 2.240, rel. 77
d 1.830, rel. 21
d 1.418, rel. 18
d 1.416, rel. 17
d 1.294, rel. 20

Crystal structure
a b c (Å): 7.7493 4.4857 7.7648
angles (deg): 90.00 109.52 90.00
Element x y z (fractional)
Pm 0.0000 0.0000 0.0000
Pm 0.0000 0.5000 0.5000
Dy 0.5000 0.0000 0.5000
Sc 0.5000 0.5000 0.0000
Bi 0.2617 0.5000 0.2476
Bi 0.2663 0.0000 0.7616
Bi 0.7337 0.0000 0.2384
Bi 0.7383 0.5000 0.7524



[10]
Diffraction record for TbPm3Dy2Bi6. The powder diffraction line list is theoretical, not measured: it uses DFT lattice parameters and positions (GGA-PBE) and CuKα.

Peak list (6 most intense, 10° ≤ 2θ ≤ 90°, sorted by position)
d 3.203, rel. 100
d 2.265, rel. 78
d 1.849, rel. 28
d 1.602, rel. 13
d 1.433, rel. 37
d 1.308, rel. 21

Crystal structure
a b c (Å): 10.1253 10.1253 9.0581
angles (deg): 102.83 102.83 25.86
Element x y z (fractional)
Tb 0.0000 0.0000 0.0000
Pm 0.0000 0.0000 0.5000
Pm 0.3335 0.3335 0.1670
Pm 0.6665 0.6665 0.8330
Dy 0.3333 0.3333 0.6669
Dy 0.6667 0.6667 0.3331
Bi 0.1654 0.1654 0.0871
Bi 0.1682 0.1682 0.5792
Bi 0.4984 0.4984 0.7530
Bi 0.5016 0.5016 0.2470
Bi 0.8318 0.8318 0.4208
Bi 0.8346 0.8346 0.9129



[11]
Diffraction record for Tb2Pm3DyBi6. The powder diffraction line list is theoretical, not measured: it uses DFT lattice parameters and positions (GGA-PBE) and CuKα.

Peak list (6 most intense, 10° ≤ 2θ ≤ 90°, sorted by position)
d 3.205, rel. 100
d 2.266, rel. 78
d 1.851, rel. 28
d 1.603, rel. 14
d 1.433, rel. 37
d 1.309, rel. 21

Crystal structure
a b c (Å): 10.1316 10.1316 9.0638
angles (deg): 102.83 102.83 25.86
Element x y z (fractional)
Tb 0.1666 0.1666 0.3331
Tb 0.8334 0.8334 0.6669
Pm 0.1668 0.1668 0.8332
Pm 0.5000 0.5000 0.5000
Pm 0.8332 0.8332 0.1668
Dy 0.5000 0.5000 0.0000
Bi 0.0012 0.0012 0.2460
Bi 0.3320 0.3320 0.4201
Bi 0.3350 0.3350 0.9138
Bi 0.6650 0.6650 0.0862
Bi 0.6680 0.6680 0.5799
Bi 0.9988 0.9988 0.7540



[12]
Diffraction record for Pr8DyBi6. The powder diffraction line list is theoretical, not measured: it uses DFT lattice parameters and positions (GGA-PBE) and CuKα.

Peak list (6 most intense, 10° ≤ 2θ ≤ 90°, sorted by position)
d 3.794, rel. 29
d 3.042, rel. 100
d 2.426, rel. 59
d 2.409, rel. 25
d 1.897, rel. 26
d 1.494, rel. 24

Crystal structure
a b c (Å): 10.0685 10.0685 10.0685
angles (deg): 49.33 49.33 49.33
Element x y z (fractional)
Pr 0.0371 0.3802 0.7171
Pr 0.1668 0.1668 0.1668
Pr 0.2829 0.9630 0.6198
Pr 0.3802 0.7171 0.0371
Pr 0.6198 0.2829 0.9629
Pr 0.7171 0.0371 0.3802
Pr 0.8332 0.8332 0.8332
Pr 0.9630 0.6198 0.2829
Dy 0.5000 0.5000 0.5000
Bi 0.1100 0.7603 0.4331
Bi 0.2397 0.5669 0.8900
Bi 0.4331 0.1100 0.7603
Bi 0.5669 0.8900 0.2397
Bi 0.7603 0.4331 0.1100
Bi 0.8900 0.2397 0.5669



[13]
Diffraction record for Pr2DyBi2. The powder diffraction line list is theoretical, not measured: it uses DFT lattice parameters and positions (GGA-PBE) and CuKα.

Peak list (6 most intense, 10° ≤ 2θ ≤ 90°, sorted by position)
d 3.718, rel. 85
d 2.966, rel. 74
d 2.617, rel. 100
d 2.521, rel. 76
d 2.450, rel. 94
d 2.238, rel. 98

Crystal structure
a b c (Å): 8.2347 8.2347 8.2347
angles (deg): 115.56 83.22 133.36
Element x y z (fractional)
Pr 0.1510 0.1444 0.2954
Pr 0.3490 0.6444 0.9934
Pr 0.6510 0.3556 0.0066
Pr 0.8490 0.8556 0.7046
Dy 0.2500 0.7500 0.5000
Dy 0.7500 0.2500 0.5000
Bi 0.1081 0.7774 0.8855
Bi 0.3919 0.2774 0.6694
Bi 0.6081 0.7226 0.3306
Bi 0.8919 0.2226 0.1145



[14]
Diffraction record for Pr5Dy2Bi4. The powder diffraction line list is theoretical, not measured: it uses DFT lattice parameters and positions (GGA-PBE) and CuKα.

Peak list (6 most intense, 10° ≤ 2θ ≤ 90°, sorted by position)
d 3.143, rel. 19
d 3.116, rel. 100
d 2.939, rel. 16
d 2.699, rel. 39
d 2.321, rel. 24
d 2.271, rel. 23

Crystal structure
a b c (Å): 9.9808 9.9808 8.6045
angles (deg): 97.16 97.16 26.31
Element x y z (fractional)
Pr 0.0000 0.0000 0.0000
Pr 0.2914 0.2914 0.6374
Pr 0.3342 0.3342 0.1584
Pr 0.6658 0.6658 0.8416
Pr 0.7086 0.7086 0.3626
Dy 0.0836 0.0836 0.5159
Dy 0.9164 0.9164 0.4841
Bi 0.1649 0.1649 0.1064
Bi 0.4978 0.4978 0.7167
Bi 0.5022 0.5022 0.2833
Bi 0.8351 0.8351 0.8936